Starting from a crystal structure in OQMD, relaxed with PBE, the X-ray diffraction stick pattern of Gd4B2SI was calculated for Cu Kα (weighted mean of Kα1 and Kα2).
Peak positions follow from Bragg's law for the DFT cell and can differ from measured ones.

Largest 10 diffraction maxima, in order of rising 2θ, 15° ≤ 2θ ≤ 90°:
- d = 3.364 Å, 26.5 deg, intensity 33, (1 0 0)
- d = 3.275 Å, 27.2 deg, intensity 13, (1 0 1)
- d = 3.046 Å, 29.3 deg, intensity 17, (1 0 2)
- d = 2.752 Å, 32.5 deg, intensity 100, (1 0 3)
- d = 2.184 Å, 41.3 deg, intensity 11, (1 0 5)
- d = 1.942 Å, 46.8 deg, intensity 31, (1 1 0)
- d = 1.609 Å, 57.3 deg, intensity 12, (1 1 5)
- d = 1.587 Å, 58.1 deg, intensity 19, (2 0 3)
- d = 1.583 Å, 58.3 deg, intensity 15, (1 0 8)
- d = 1.229 Å, 77.7 deg, intensity 16, (2 1 3)

Crystal structure
```
data_Gd4B2SI
_symmetry_space_group_name_H-M 'P -6 m 2'
_symmetry_Int_Tables_number 187
_symmetry_space_group_name_Hall 'P -6 2'
_cell_length_a 3.8839
_cell_length_b 3.8839
_cell_length_c 14.3580
_cell_angle_alpha 90.00
_cell_angle_beta 90.00
_cell_angle_gamma 120.00
loop_
_atom_site_label
_atom_site_fract_x
_atom_site_fract_y
_atom_site_fract_z
_atom_site_occupancy
Gd1 0.0000 0.0000 0.1280 1
Gd2 0.6667 0.3333 0.3291 1
B1 0.3333 0.6667 0.2365 1
S1 0.6667 0.3333 0.0000 1
I1 0.0000 0.0000 0.5000 1
```

***

Starting from a crystal structure in OQMD, relaxed with PBE, the X-ray diffraction stick pattern of MoCl2 was calculated for Cu Kα (weighted mean of Kα1 and Kα2).
Peak positions follow from Bragg's law for the DFT cell and can differ from measured ones.

Largest 10 diffraction maxima, in order of rising 2θ, 15° ≤ 2θ ≤ 90°:
- d = 5.681 Å, 15.6 deg, intensity 100, (0 0 2)
- d = 5.641 Å, 15.7 deg, intensity 95, (0 2 0)
- d = 3.484 Å, 25.6 deg, intensity 41, (2 2 2)
- d = 2.379 Å, 37.8 deg, intensity 64, (3 1 4)
- d = 2.166 Å, 41.7 deg, intensity 52, (4 4 1)
- d = 2.074 Å, 43.6 deg, intensity 44, (1 5 2)
- d = 2.020 Å, 44.9 deg, intensity 45, (2 2 5)
- d = 1.962 Å, 46.3 deg, intensity 61, (7 1 1)
- d = 1.916 Å, 47.4 deg, intensity 41, (3 5 2)
- d = 1.771 Å, 51.6 deg, intensity 48, (8 0 0)

Crystal structure
```
data_MoCl2
_symmetry_space_group_name_H-M 'C m c e'
_symmetry_Int_Tables_number 64
_symmetry_space_group_name_Hall '-C 2ac 2'
_cell_length_a 14.166
_cell_length_b 11.281
_cell_length_c 11.362
_cell_angle_alpha 90.00
_cell_angle_beta 90.00
_cell_angle_gamma 90.00
loop_
_atom_site_label
_atom_site_fract_x
_atom_site_fract_y
_atom_site_fract_z
_atom_site_occupancy
Mo1 0.000 0.065 0.149 1
Mo2 0.000 0.151 0.936 1
Mo3 0.131 0.000 0.000 1
Cl1 0.000 0.141 0.357 1
Cl2 0.124 0.082 0.797 1
Cl3 0.124 0.205 0.081 1
Cl4 0.201 0.000 0.500 1
```

***

Starting from a crystal structure in OQMD, relaxed with PBE, the X-ray diffraction stick pattern of MgCdSnP2 was calculated for Cu Kα (weighted mean of Kα1 and Kα2).
Peak positions follow from Bragg's law for the DFT cell and can differ from measured ones.

Largest 10 diffraction maxima, in order of rising 2θ, 15° ≤ 2θ ≤ 90°:
- d = 3.736 Å, 23.8 deg, intensity 13, (1 0 0)
- d = 3.288 Å, 27.1 deg, intensity 100, (0 1 1)
- d = 2.540 Å, 35.3 deg, intensity 67, (1 0 2)
- d = 2.157 Å, 41.9 deg, intensity 49, (1 1 0)
- d = 1.965 Å, 46.2 deg, intensity 17, (0 1 3)
- d = 1.803 Å, 50.6 deg, intensity 18, (2 0 1)
- d = 1.644 Å, 55.9 deg, intensity 17, (0 2 2)
- d = 1.576 Å, 58.6 deg, intensity 20, (1 1 3)
- d = 1.383 Å, 67.7 deg, intensity 15, (1 2 1)
- d = 1.307 Å, 72.3 deg, intensity 16, (2 1 2)

Crystal structure
```
data_MgCdSnP2
_symmetry_space_group_name_H-M 'P 3 m 1'
_symmetry_Int_Tables_number 156
_symmetry_space_group_name_Hall 'P 3 -2"'
_cell_length_a 4.3134
_cell_length_b 4.3134
_cell_length_c 6.9292
_cell_angle_alpha 90.00
_cell_angle_beta 90.00
_cell_angle_gamma 120.00
loop_
_atom_site_label
_atom_site_fract_x
_atom_site_fract_y
_atom_site_fract_z
_atom_site_occupancy
Mg1 0.0000 0.0000 0.0000 1
Cd1 0.3333 0.6667 0.2723 1
Sn1 0.6667 0.3333 0.6371 1
P1 0.0000 0.0000 0.3951 1
P2 0.3333 0.6667 0.8825 1
```

***

Starting from a crystal structure in OQMD, relaxed with PBE, the X-ray diffraction stick pattern of ErNbPb2O6 was calculated for Cu Kα (weighted mean of Kα1 and Kα2).
Peak positions follow from Bragg's law for the DFT cell and can differ from measured ones.

Largest 10 diffraction maxima, in order of rising 2θ, 15° ≤ 2θ ≤ 90°:
- d = 2.945 Å, 30.4 deg, intensity 100, (1 1 2)
- d = 2.908 Å, 30.7 deg, intensity 53, (2 0 0)
- d = 2.110 Å, 42.9 deg, intensity 15, (0 0 4)
- d = 2.056 Å, 44.0 deg, intensity 25, (2 2 0)
- d = 1.707 Å, 53.7 deg, intensity 23, (2 0 4)
- d = 1.686 Å, 54.4 deg, intensity 44, (1 3 2)
- d = 1.472 Å, 63.1 deg, intensity 17, (2 2 4)
- d = 1.117 Å, 87.3 deg, intensity 12, (1 3 6)
- d = 1.107 Å, 88.3 deg, intensity 13, (4 2 4)
- d = 1.101 Å, 88.9 deg, intensity 11, (5 1 2)

Crystal structure
```
data_ErNbPb2O6
_symmetry_space_group_name_H-M 'I 4/m'
_symmetry_Int_Tables_number 87
_symmetry_space_group_name_Hall '-I 4'
_cell_length_a 5.816
_cell_length_b 5.816
_cell_length_c 8.438
_cell_angle_alpha 90.00
_cell_angle_beta 90.00
_cell_angle_gamma 90.00
loop_
_atom_site_label
_atom_site_fract_x
_atom_site_fract_y
_atom_site_fract_z
_atom_site_occupancy
Er1 0.000 0.000 0.000 1
Nb1 0.000 0.000 0.500 1
Pb1 0.000 0.500 0.250 1
O1 0.000 0.000 0.262 1
O2 0.175 0.299 0.500 1
```

***

Starting from a crystal structure in OQMD, relaxed with PBE, the X-ray diffraction stick pattern of ErZn2 was calculated for Cu Kα (weighted mean of Kα1 and Kα2).
Peak positions follow from Bragg's law for the DFT cell and can differ from measured ones.

Largest 10 diffraction maxima, in order of rising 2θ, 15° ≤ 2θ ≤ 90°:
- d = 4.413 Å, 20.1 deg, intensity 10, (1 1 1)
- d = 2.703 Å, 33.1 deg, intensity 60, (2 2 0)
- d = 2.305 Å, 39.1 deg, intensity 100, (3 1 1)
- d = 2.207 Å, 40.9 deg, intensity 17, (2 2 2)
- d = 1.560 Å, 59.2 deg, intensity 23, (4 2 2)
- d = 1.471 Å, 63.2 deg, intensity 32, (5 1 1)
- d = 1.351 Å, 69.6 deg, intensity 24, (4 4 0)
- d = 1.209 Å, 79.3 deg, intensity 10, (6 2 0)
- d = 1.166 Å, 82.8 deg, intensity 11, (5 3 3)
- d = 1.152 Å, 84.0 deg, intensity 6, (6 2 2)

Crystal structure
Unit cell a=7.644 b=7.644 c=7.644 alpha=90.00 beta=90.00 gamma=90.00
Space group Fd-3m (No. 227, origin choice 2)
Asymmetric unit:
Er1 0.125 0.125 0.125 x8
Zn1 0.000 0.000 0.500 x16

***

Starting from a crystal structure in OQMD, relaxed with PBE, the X-ray diffraction stick pattern of LiPdPt6 was calculated for Cu Kα (weighted mean of Kα1 and Kα2).
Peak positions follow from Bragg's law for the DFT cell and can differ from measured ones.

Largest 10 diffraction maxima, in order of rising 2θ, 15° ≤ 2θ ≤ 90°:
- d = 4.534 Å, 19.6 deg, intensity 4, (1 1 1)
- d = 3.927 Å, 22.6 deg, intensity 14, (2 0 0)
- d = 2.777 Å, 32.2 deg, intensity 12, (2 2 0)
- d = 2.267 Å, 39.8 deg, intensity 100, (2 2 2)
- d = 1.963 Å, 46.2 deg, intensity 49, (4 0 0)
- d = 1.756 Å, 52.1 deg, intensity 6, (4 2 0)
- d = 1.603 Å, 57.5 deg, intensity 5, (4 2 2)
- d = 1.388 Å, 67.5 deg, intensity 32, (4 4 0)
- d = 1.184 Å, 81.3 deg, intensity 39, (6 2 2)
- d = 1.134 Å, 85.7 deg, intensity 12, (4 4 4)

Crystal structure
```
data_LiPdPt6
_symmetry_space_group_name_H-M 'F m -3 m'
_symmetry_Int_Tables_number 225
_symmetry_space_group_name_Hall '-F 4 2 3'
_cell_length_a 7.854
_cell_length_b 7.854
_cell_length_c 7.854
_cell_angle_alpha 90.00
_cell_angle_beta 90.00
_cell_angle_gamma 90.00
loop_
_atom_site_label
_atom_site_fract_x
_atom_site_fract_y
_atom_site_fract_z
_atom_site_occupancy
Li1 0.000 0.000 0.000 1
Pd1 0.000 0.000 0.500 1
Pt1 0.000 0.250 0.250 1
```

***

Starting from a crystal structure in OQMD, relaxed with PBE, the X-ray diffraction stick pattern of Rb2PdI2Br2 was calculated for Cu Kα (weighted mean of Kα1 and Kα2).
Peak positions follow from Bragg's law for the DFT cell and can differ from measured ones.

Largest 10 diffraction maxima, in order of rising 2θ, 15° ≤ 2θ ≤ 90°:
- d = 4.750 Å, 18.7 deg, intensity 45, (0 0 1)
- d = 3.708 Å, 24.0 deg, intensity 60, (0 2 1)
- d = 3.033 Å, 29.4 deg, intensity 100, (2 2 1)
- d = 2.965 Å, 30.1 deg, intensity 43, (0 4 0)
- d = 2.638 Å, 34.0 deg, intensity 39, (4 0 0)
- d = 2.375 Å, 37.9 deg, intensity 29, (0 0 2)
- d = 2.149 Å, 42.0 deg, intensity 27, (4 2 1)
- d = 1.971 Å, 46.1 deg, intensity 26, (4 4 0)
- d = 1.765 Å, 51.8 deg, intensity 23, (4 0 2)
- d = 1.516 Å, 61.1 deg, intensity 27, (4 4 2)

Crystal structure
```
data_Rb2PdI2Br2
_symmetry_space_group_name_H-M 'C m m m'
_symmetry_Int_Tables_number 65
_symmetry_space_group_name_Hall '-C 2 2'
_cell_length_a 10.552
_cell_length_b 11.861
_cell_length_c 4.750
_cell_angle_alpha 90.00
_cell_angle_beta 90.00
_cell_angle_gamma 90.00
loop_
_atom_site_label
_atom_site_fract_x
_atom_site_fract_y
_atom_site_fract_z
_atom_site_occupancy
Rb1 0.250 0.250 0.000 1
Pd1 0.000 0.000 0.500 1
I1 0.249 0.500 0.500 1
Br1 0.000 0.210 0.500 1
```

***

Starting from a crystal structure in OQMD, relaxed with PBE, the X-ray diffraction stick pattern of GdY2Al7Ag2 was calculated for Cu Kα (weighted mean of Kα1 and Kα2).
Peak positions follow from Bragg's law for the DFT cell and can differ from measured ones.

Largest 10 diffraction maxima, in order of rising 2θ, 15° ≤ 2θ ≤ 90°:
- d = 4.393 Å, 20.2 deg, intensity 32, (0 0 6)
- d = 2.966 Å, 30.1 deg, intensity 15, (1 0 7)
- d = 2.779 Å, 32.2 deg, intensity 71, (1 1 0)
- d = 2.719 Å, 32.9 deg, intensity 14, (0 1 8)
- d = 2.650 Å, 33.8 deg, intensity 16, (1 1 3)
- d = 2.349 Å, 38.3 deg, intensity 100, (1 1 6)
- d = 2.016 Å, 45.0 deg, intensity 20, (1 1 9)
- d = 1.507 Å, 61.5 deg, intensity 24, (3 0 6)
- d = 1.485 Å, 62.5 deg, intensity 16, (1 1 15)
- d = 1.390 Å, 67.4 deg, intensity 16, (2 2 0)

Crystal structure
```
data_GdY2Al7Ag2
_symmetry_space_group_name_H-M 'R -3 m'
_symmetry_Int_Tables_number 166
_symmetry_space_group_name_Hall '-R 3 2"'
_cell_length_a 5.5585
_cell_length_b 5.5585
_cell_length_c 26.3564
_cell_angle_alpha 90.00
_cell_angle_beta 90.00
_cell_angle_gamma 120.00
loop_
_atom_site_label
_atom_site_fract_x
_atom_site_fract_y
_atom_site_fract_z
_atom_site_occupancy
Gd1 0.0000 0.0000 0.0000 1
Y1 0.0000 0.0000 0.1420 1
Al1 0.0000 0.0000 0.5000 1
Al2 0.0078 0.5039 0.9163 1
Ag1 0.0000 0.0000 0.3356 1
```

***

Starting from a crystal structure in OQMD, relaxed with PBE, the X-ray diffraction stick pattern of SrAs4Au2 was calculated for Cu Kα (weighted mean of Kα1 and Kα2).
Peak positions follow from Bragg's law for the DFT cell and can differ from measured ones.

Largest 10 diffraction maxima, in order of rising 2θ, 15° ≤ 2θ ≤ 90°:
- d = 4.361 Å, 20.4 deg, intensity 73, (1 1 3)
- d = 3.441 Å, 25.9 deg, intensity 96, (1 1 5)
- d = 2.903 Å, 30.8 deg, intensity 100, (0 2 6)
- d = 2.800 Å, 32.0 deg, intensity 44, (0 0 8)
- d = 2.768 Å, 32.3 deg, intensity 96, (1 3 1)
- d = 2.749 Å, 32.6 deg, intensity 66, (1 1 7)
- d = 2.687 Å, 33.4 deg, intensity 88, (2 2 0)
- d = 2.613 Å, 34.3 deg, intensity 77, (1 3 3)
- d = 2.059 Å, 44.0 deg, intensity 46, (3 1 3)
- d = 1.688 Å, 54.4 deg, intensity 72, (2 4 6)

Crystal structure
```
data_SrAs4Au2
_symmetry_space_group_name_H-M 'F d d d'
_symmetry_Int_Tables_number 70
_cell_length_a 6.608
_cell_length_b 9.230
_cell_length_c 22.400
_cell_angle_alpha 90.00
_cell_angle_beta 90.00
_cell_angle_gamma 90.00
loop_
_symmetry_equiv_pos_as_xyz
'x,y,z'
'-x,-y,-z'
'-x+1/4,-y+1/4,z'
'x+1/4,y+1/4,-z'
'x,-y+1/4,-z+1/4'
'-x,y+1/4,z+1/4'
'-x+1/4,y,-z+1/4'
'x+1/4,-y,z+1/4'
'x,y+1/2,z+1/2'
'-x,-y+1/2,-z+1/2'
'-x+1/4,-y+3/4,z+1/2'
'x+1/4,y+3/4,-z+1/2'
'x,-y+3/4,-z+3/4'
'-x,y+3/4,z+3/4'
'-x+1/4,y+1/2,-z+3/4'
'x+1/4,-y+1/2,z+3/4'
'x+1/2,y,z+1/2'
'-x+1/2,-y,-z+1/2'
'-x+3/4,-y+1/4,z+1/2'
'x+3/4,y+1/4,-z+1/2'
'x+1/2,-y+1/4,-z+3/4'
'-x+1/2,y+1/4,z+3/4'
'-x+3/4,y,-z+3/4'
'x+3/4,-y,z+3/4'
'x+1/2,y+1/2,z'
'-x+1/2,-y+1/2,-z'
'-x+3/4,-y+3/4,z'
'x+3/4,y+3/4,-z'
'x+1/2,-y+3/4,-z+1/4'
'-x+1/2,y+3/4,z+1/4'
'-x+3/4,y+1/2,-z+1/4'
'x+3/4,-y+1/2,z+1/4'
loop_
_atom_site_label
_atom_site_fract_x
_atom_site_fract_y
_atom_site_fract_z
_atom_site_occupancy
Sr1 0.125 0.125 0.125 1
As1 0.044 0.002 0.554 1
Au1 0.125 0.125 0.296 1
```

***

Starting from a crystal structure in OQMD, relaxed with PBE, the X-ray diffraction stick pattern of Sm4I4N3 was calculated for Cu Kα (weighted mean of Kα1 and Kα2).
Peak positions follow from Bragg's law for the DFT cell and can differ from measured ones.

Largest 10 diffraction maxima, in order of rising 2θ, 15° ≤ 2θ ≤ 90°:
- d = 3.060 Å, 29.2 deg, intensity 100, (1 0 2)
- d = 2.802 Å, 31.9 deg, intensity 45, (1 2 0)
- d = 2.494 Å, 36.0 deg, intensity 8, (1 0 3)
- d = 2.422 Å, 37.1 deg, intensity 7, (1 2 2)
- d = 2.058 Å, 44.0 deg, intensity 10, (0 2 4)
- d = 1.985 Å, 45.7 deg, intensity 9, (2 0 0)
- d = 1.978 Å, 45.9 deg, intensity 9, (0 4 0)
- d = 1.826 Å, 49.9 deg, intensity 14, (1 2 4)
- d = 1.665 Å, 55.2 deg, intensity 16, (2 2 2)
- d = 1.662 Å, 55.3 deg, intensity 16, (1 4 2)

Crystal structure
```
data_Sm4I4N3
_symmetry_space_group_name_H-M 'P m m 2'
_symmetry_Int_Tables_number 25
_symmetry_space_group_name_Hall 'P 2 -2'
_cell_length_a 3.969
_cell_length_b 7.911
_cell_length_c 9.631
_cell_angle_alpha 90.00
_cell_angle_beta 90.00
_cell_angle_gamma 90.00
loop_
_atom_site_label
_atom_site_fract_x
_atom_site_fract_y
_atom_site_fract_z
_atom_site_occupancy
Sm1 0.000 0.000 0.000 1
Sm2 0.000 0.500 0.050 1
Sm3 0.500 0.240 0.760 1
I1 0.000 0.000 0.552 1
I2 0.000 0.500 0.569 1
I3 0.500 0.249 0.217 1
N1 0.000 0.289 0.891 1
N2 0.500 0.000 0.879 1
```

***

Starting from a crystal structure in OQMD, relaxed with PBE, the X-ray diffraction stick pattern of Pr2PIBr was calculated for Cu Kα (weighted mean of Kα1 and Kα2).
Peak positions follow from Bragg's law for the DFT cell and can differ from measured ones.

Largest 10 diffraction maxima, in order of rising 2θ, 15° ≤ 2θ ≤ 90°:
- d = 5.571 Å, 15.9 deg, intensity 11, (0 0 2)
- d = 3.674 Å, 24.2 deg, intensity 23, (1 0 0)
- d = 3.067 Å, 29.1 deg, intensity 100, (0 1 2)
- d = 2.612 Å, 34.3 deg, intensity 9, (0 1 3)
- d = 2.220 Å, 40.6 deg, intensity 28, (1 0 4)
- d = 2.121 Å, 42.6 deg, intensity 29, (1 1 0)
- d = 1.745 Å, 52.4 deg, intensity 19, (2 0 2)
- d = 1.688 Å, 54.4 deg, intensity 9, (1 1 4)
- d = 1.534 Å, 60.4 deg, intensity 9, (0 2 4)
- d = 1.347 Å, 69.8 deg, intensity 16, (1 2 2)

Crystal structure
```
data_Pr2PIBr
_symmetry_space_group_name_H-M 'P 3 m 1'
_symmetry_Int_Tables_number 156
_symmetry_space_group_name_Hall 'P 3 -2"'
_cell_length_a 4.2426
_cell_length_b 4.2426
_cell_length_c 11.1419
_cell_angle_alpha 90.00
_cell_angle_beta 90.00
_cell_angle_gamma 120.00
loop_
_atom_site_label
_atom_site_fract_x
_atom_site_fract_y
_atom_site_fract_z
_atom_site_occupancy
Pr1 0.0000 0.0000 0.0000 1
Pr2 0.3333 0.6667 0.7138 1
P1 0.6667 0.3333 0.8572 1
I1 0.0000 0.0000 0.5225 1
Br1 0.3333 0.6667 0.1667 1
```

***

Starting from a crystal structure in OQMD, relaxed with PBE, the X-ray diffraction stick pattern of GePd8 was calculated for Cu Kα (weighted mean of Kα1 and Kα2).
Peak positions follow from Bragg's law for the DFT cell and can differ from measured ones.

Largest 10 diffraction maxima, in order of rising 2θ, 15° ≤ 2θ ≤ 90°:
- d = 2.444 Å, 36.8 deg, intensity 44, (1 1 9)
- d = 2.306 Å, 39.1 deg, intensity 100, (1 1 10)
- d = 2.271 Å, 39.7 deg, intensity 94, (3 1 -3)
- d = 2.228 Å, 40.5 deg, intensity 68, (3 1 -4)
- d = 2.177 Å, 41.5 deg, intensity 38, (1 1 11)
- d = 2.060 Å, 43.9 deg, intensity 30, (2 0 -13)
- d = 1.948 Å, 46.6 deg, intensity 33, (0 2 0)
- d = 1.943 Å, 46.7 deg, intensity 74, (4 0 7)
- d = 1.376 Å, 68.2 deg, intensity 31, (4 2 7)
- d = 1.177 Å, 81.8 deg, intensity 22, (3 3 -3)

Crystal structure
```
data_GePd8
_symmetry_space_group_name_H-M 'C 1 2/m 1'
_symmetry_Int_Tables_number 12
_symmetry_space_group_name_Hall '-C 2y'
_cell_length_a 8.713
_cell_length_b 3.896
_cell_length_c 30.330
_cell_angle_alpha 90.00
_cell_angle_beta 90.25
_cell_angle_gamma 90.00
loop_
_atom_site_label
_atom_site_fract_x
_atom_site_fract_y
_atom_site_fract_z
_atom_site_occupancy
Ge1 0.053 0.000 0.261 1
Pd1 0.049 0.500 0.395 1
Pd2 0.052 0.000 0.545 1
Pd3 0.052 0.500 0.698 1
Pd4 0.149 0.500 0.485 1
Pd5 0.150 0.000 0.634 1
Pd6 0.154 0.000 0.336 1
Pd7 0.247 0.500 0.270 1
Pd8 0.249 0.000 0.426 1
```

***

Starting from a crystal structure in OQMD, relaxed with PBE, the X-ray diffraction stick pattern of AuCS2Cl3 was calculated for Cu Kα (weighted mean of Kα1 and Kα2).
Peak positions follow from Bragg's law for the DFT cell and can differ from measured ones.

Largest 10 diffraction maxima, in order of rising 2θ, 15° ≤ 2θ ≤ 90°:
- d = 5.577 Å, 15.9 deg, intensity 86, (1 1 1)
- d = 4.997 Å, 17.7 deg, intensity 41, (1 1 -2)
- d = 4.955 Å, 17.9 deg, intensity 64, (0 0 2)
- d = 4.355 Å, 20.4 deg, intensity 96, (2 2 -1)
- d = 4.286 Å, 20.7 deg, intensity 41, (3 1 -2)
- d = 4.116 Å, 21.6 deg, intensity 34, (3 1 0)
- d = 3.475 Å, 25.6 deg, intensity 18, (2 2 1)
- d = 3.101 Å, 28.8 deg, intensity 100, (2 2 -3)
- d = 2.879 Å, 31.1 deg, intensity 18, (5 1 -1)
- d = 1.915 Å, 47.5 deg, intensity 20, (4 4 -4)

Crystal structure
```
data_AuCS2Cl3
_symmetry_space_group_name_H-M 'C 1 2/c 1'
_symmetry_Int_Tables_number 15
_symmetry_space_group_name_Hall '-C 2yc'
_cell_length_a 15.476
_cell_length_b 10.636
_cell_length_c 11.452
_cell_angle_alpha 90.00
_cell_angle_beta 120.07
_cell_angle_gamma 90.00
loop_
_atom_site_label
_atom_site_fract_x
_atom_site_fract_y
_atom_site_fract_z
_atom_site_occupancy
Au1 0.169 0.122 0.039 1
C1 0.025 0.274 0.050 1
S1 0.004 0.162 0.569 1
S2 0.148 0.286 0.162 1
Cl1 0.062 0.365 0.445 1
Cl2 0.157 0.391 0.830 1
Cl3 0.160 0.038 0.394 1
```